This entry pairs a crystal structure of CoSb2I2O3 with its calculated X-ray powder pattern. Radiation: Cu Kα (λ = 1.5418 Å). Structure: a DFT-relaxed cell (GGA+U, OQMD).
Neutral-atom scattering factors, no anomalous dispersion.

Main lines, by intensity (15° ≤ 2θ ≤ 90°):
hkl, d_spacing, Rel. int.
1 2 1, 3.334, 100.0
1 -2 0, 3.015, 79.0
1 0 -2, 3.033, 68.9
2 0 1, 2.605, 56.6
0 2 -1, 3.576, 42.3
1 0 3, 2.576, 34.4
0 2 -2, 2.823, 30.6
0 2 3, 2.315, 23.3
0 0 2, 4.102, 23.0
0 4 1, 1.990, 15.6

Structure:
Lattice parameters (Å, degrees): 5.353 8.208 8.301 86.30 81.55 81.66
Space group P-1 (No. 2)
One atom of each set of equivalent atoms:
Co  0.027  0.292  0.486
Sb  0.400  0.960  0.690
Sb  0.428  0.521  0.698
I  0.158  0.805  0.200
I  0.235  0.317  0.118
O  0.264  0.471  0.485
O  0.275  0.753  0.625
O  0.287  0.091  0.485